Record 1
Simulated PXRD pattern
Compound: ZrAlPb2S5
Radiation: Cu Kα (weighted mean of Kα1 and Kα2)
Structure: a GGA-PBE-relaxed structure
Intensities are scaled so that the largest is 100.

Structural model:
Lattice parameters (Å, degrees): 3.698 17.355 13.448 90.00 90.00 90.00
Space group Cmc2_1 (No. 36)
Symmetry-distinct sites (fractional):
Zr 0.000 0.211 0.000 [4 per cell]
Al 0.000 0.438 0.397 [4 per cell]
Pb 0.000 0.125 0.638 [4 per cell]
Pb 0.000 0.126 0.292 [4 per cell]
S 0.000 0.051 0.997 [4 per cell]
S 0.000 0.289 0.634 [4 per cell]
S 0.000 0.309 0.361 [4 per cell]
S 0.000 0.354 0.967 [4 per cell]
S 0.000 0.499 0.753 [4 per cell]

Peak list (12 most intense, 10° ≤ 2θ ≤ 90°, in order of falling intensity)
hkl  Position (°2θ)  d [Å]  intensity
1 1 3  31.79  2.815  100
0 2 3  22.32  3.983  96
0 6 1  31.64  2.828  54
0 4 0  20.47  4.339  36
1 3 0  28.65  3.116  28
0 2 1  12.14  7.291  28
1 1 0  24.61  3.617  27
2 2 3  54.72  1.677  27
1 5 2  37.99  2.369  26
0 6 5  46.09  1.969  23
0 4 2  24.42  3.646  23
1 3 3  35.07  2.559  20


Record 2
Simulated PXRD pattern
Compound: Nd12Si6Bi
Radiation: Cu Kα (weighted mean of Kα1 and Kα2)
Structure: a GGA-PBE-relaxed structure
Intensities are scaled so that the largest is 100.

Structural model:
Lattice parameters (Å, degrees): 10.296 10.296 10.296 90.00 90.00 90.00
Space group Im-3 (No. 204)
Symmetry-distinct sites (fractional):
Nd 0.000 0.298 0.190 [24 per cell]
Si 0.000 0.114 0.500 [12 per cell]
Bi 0.000 0.000 0.000 [2 per cell]

Peak list (12 most intense, 10° ≤ 2θ ≤ 90°, in order of falling intensity)
hkl  Position (°2θ)  d [Å]  intensity
3 1 2  32.54  2.752  100
3 0 1  27.39  3.256  66
2 2 2  30.07  2.972  63
5 2 3  54.98  1.670  46
5 3 0  51.78  1.766  43
5 3 4  63.94  1.456  24
4 0 0  34.86  2.574  23
5 0 1  44.89  2.019  19
8 2 2  78.89  1.213  17
7 0 5  80.20  1.197  17
6 5 3  77.58  1.231  11
6 0 0  53.39  1.716  11


Record 3
Simulated PXRD pattern
Compound: Ce3PrMn
Radiation: Cu Kα (weighted mean of Kα1 and Kα2)
Structure: a GGA-PBE-relaxed structure
Intensities are scaled so that the largest is 100.

Structural model:
Lattice parameters (Å, degrees): 5.190 5.190 5.190 90.00 90.00 90.00
Space group Pm-3m (No. 221)
Symmetry-distinct sites (fractional):
Ce 0.000 0.000 0.500 [3 per cell]
Pr 0.500 0.500 0.500 [1 per cell]
Mn 0.000 0.000 0.000 [1 per cell]

Peak list (12 most intense, 10° ≤ 2θ ≤ 90°, in order of falling intensity)
hkl  Position (°2θ)  d [Å]  intensity
1 1 1  29.82  2.996  100
2 0 0  34.57  2.595  76
2 2 0  49.69  1.835  54
3 1 1  59.03  1.565  44
4 2 0  83.26  1.160  24
2 2 2  61.94  1.498  18
3 3 1  80.70  1.191  18
4 0 0  72.91  1.297  8
1 1 0  24.25  3.670  4
1 0 0  17.08  5.190  4
2 1 0  38.80  2.321  2
2 1 1  42.67  2.119  1


Record 4
Simulated PXRD pattern
Compound: Mo2HPbAu
Radiation: Cu Kα (weighted mean of Kα1 and Kα2)
Structure: a GGA-PBE-relaxed structure
Intensities are scaled so that the largest is 100.

Structural model:
Lattice parameters (Å, degrees): 4.074 4.074 4.583 90.00 90.00 90.00
Space group P4/mmm (No. 123)
Symmetry-distinct sites (fractional):
Mo 0.000 0.500 0.000 [2 per cell]
H 0.000 0.000 0.000 [1 per cell]
Pb 0.500 0.500 0.500 [1 per cell]
Au 0.000 0.000 0.500 [1 per cell]

Peak list (12 most intense, 10° ≤ 2θ ≤ 90°, in order of falling intensity)
hkl  Position (°2θ)  d [Å]  intensity
1 1 1  36.85  2.439  100
2 0 0  44.47  2.037  30
3 1 1  76.86  1.240  24
2 0 2  60.85  1.522  23
0 0 2  39.32  2.291  21
1 1 3  69.67  1.350  16
0 0 1  19.37  4.583  13
2 2 2  78.42  1.219  12
2 2 0  64.71  1.440  10
1 1 0  31.04  2.881  9
2 0 1  48.93  1.861  6
1 1 2  50.92  1.793  5


Record 5
Simulated PXRD pattern
Compound: Tb5PrNd5
Radiation: Cu Kα (weighted mean of Kα1 and Kα2)
Structure: a GGA-PBE-relaxed structure
Intensities are scaled so that the largest is 100.

Structural model:
Lattice parameters (Å, degrees): 7.003 7.047 8.540 75.55 76.86 72.15
Space group P-1 (No. 2)
Symmetry-distinct sites (fractional):
Tb 0.000 0.000 0.000 [1 per cell]
Tb 0.178 0.723 0.349 [2 per cell]
Tb 0.292 0.356 0.691 [2 per cell]
Pr 0.500 0.000 0.000 [1 per cell]
Nd 0.138 0.256 0.272 [2 per cell]
Nd 0.345 0.864 0.643 [2 per cell]
Nd 0.500 0.500 0.000 [1 per cell]

Peak list (12 most intense, 10° ≤ 2θ ≤ 90°, in order of falling intensity)
hkl  Position (°2θ)  d [Å]  intensity
2 2 1  31.49  2.841  100
2 0 -1  30.94  2.890  60
2 0 2  32.05  2.793  47
0 0 3  32.94  2.719  42
0 2 -1  31.23  2.864  39
1 -2 0  33.53  2.672  18
2 -2 0  43.78  2.068  15
2 2 -2  45.29  2.002  14
2 2 4  47.20  1.926  13
4 0 1  55.16  1.665  13
1 2 -1  31.84  2.810  13
4 2 0  55.46  1.657  13


Record 6
Simulated PXRD pattern
Compound: UBiSb2O8
Radiation: Cu Kα (weighted mean of Kα1 and Kα2)
Structure: a GGA-PBE-relaxed structure
Intensities are scaled so that the largest is 100.

Structural model:
Lattice parameters (Å, degrees): 7.294 7.160 7.111 90.00 92.09 90.00
Space group C2/m (No. 12)
Symmetry-distinct sites (fractional):
U 0.000 0.000 0.000 [2 per cell]
Bi 0.000 0.000 0.500 [2 per cell]
Sb 0.008 0.500 0.741 [4 per cell]
O 0.016 0.194 0.774 [8 per cell]
O 0.177 0.500 0.521 [4 per cell]
O 0.217 0.500 0.963 [4 per cell]

Peak list (12 most intense, 10° ≤ 2θ ≤ 90°, in order of falling intensity)
hkl  Position (°2θ)  d [Å]  intensity
2 0 0  24.42  3.645  100
1 1 -2  30.27  2.953  99
0 2 0  24.87  3.580  96
1 1 2  31.02  2.883  90
3 1 2  47.83  1.902  70
2 2 0  35.14  2.554  55
1 3 -2  47.30  1.922  37
3 1 -2  46.26  1.963  36
1 1 0  17.36  5.108  32
3 3 -2  59.61  1.551  20
3 3 2  60.93  1.520  20
0 2 4  57.95  1.591  18


Record 7
Simulated PXRD pattern
Compound: Cr2NiRh6
Radiation: Cu Kα (weighted mean of Kα1 and Kα2)
Structure: a GGA-PBE-relaxed structure
Intensities are scaled so that the largest is 100.

Structural model:
Lattice parameters (Å, degrees): 3.825 11.021 11.463 90.00 90.00 90.00
Space group Fmmm (No. 69)
Symmetry-distinct sites (fractional):
Cr 0.000 0.000 0.162 [8 per cell]
Ni 0.000 0.000 0.500 [4 per cell]
Rh 0.000 0.157 0.332 [16 per cell]
Rh 0.000 0.161 0.000 [8 per cell]

Peak list (12 most intense, 10° ≤ 2θ ≤ 90°, in order of falling intensity)
hkl  Position (°2θ)  d [Å]  intensity
1 3 3  41.47  2.177  100
2 0 0  47.57  1.911  34
3 3 3  84.34  1.148  24
2 6 0  71.19  1.324  18
0 6 0  49.63  1.837  14
2 0 6  69.55  1.352  10
1 9 3  87.44  1.115  9
1 1 3  34.15  2.625  8
0 4 0  32.50  2.755  5
0 4 6  58.79  1.571  4
1 7 3  69.03  1.361  4
0 2 0  16.08  5.511  3


Record 8
Simulated PXRD pattern
Compound: Li6AlCd2
Radiation: Cu Kα (weighted mean of Kα1 and Kα2)
Structure: a GGA-PBE-relaxed structure
Intensities are scaled so that the largest is 100.

Structural model:
Lattice parameters (Å, degrees): 8.0995 8.0995 2.9171 90.00 90.00 120.00
Space group P-62m (No. 189)
Symmetry-distinct sites (fractional):
Li 0.0000 0.3012 0.0000 [3 per cell]
Li 0.0000 0.6457 0.5000 [3 per cell]
Al 0.0000 0.0000 0.5000 [1 per cell]
Cd 0.3333 0.6667 0.0000 [2 per cell]

Peak list (12 most intense, 10° ≤ 2θ ≤ 90°, in order of falling intensity)
hkl  Position (°2θ)  d [Å]  intensity
1 1 0  21.95  4.050  100
1 0 0  12.62  7.014  43
1 1 1  38.02  2.367  34
3 0 0  38.50  2.338  32
1 0 1  33.26  2.693  23
2 1 1  46.27  1.962  19
2 0 1  40.21  2.243  15
2 2 0  44.76  2.025  15
3 0 1  49.99  1.824  15
4 1 0  60.48  1.531  12
2 2 1  55.22  1.663  11
4 1 1  69.33  1.355  11